# Na6Co2PC4O16
Simulated XRD peak list, Cu Kα (λ = 1.5418 Å). Input: a DFT-relaxed cell (PBE+U, Alexandria).
Lines closer than 0.1° are merged.

Crystal structure
Cell lengths 9.9139, 9.9139, 9.9139 Å; angles 60.00, 60.00, 60.00 degrees
Fractional positions:
Na1 0.0876 0.0876 0.6624
Na2 0.0876 0.6624 0.0876
Na3 0.0876 0.6624 0.6624
Na4 0.3376 0.3376 0.9124
Na5 0.3376 0.9124 0.3376
Na6 0.3376 0.9124 0.9124
Na7 0.6624 0.0876 0.0876
Na8 0.6624 0.0876 0.6624
Na9 0.6624 0.6624 0.0876
Na10 0.9124 0.3376 0.3376
Na11 0.9124 0.3376 0.9124
Na12 0.9124 0.9124 0.3376
Co1 0.0000 0.5000 0.5000
Co2 0.5000 0.0000 0.5000
Co3 0.5000 0.5000 0.0000
Co4 0.5000 0.5000 0.5000
P1 0.1250 0.1250 0.1250
P2 0.8750 0.8750 0.8750
C1 0.2832 0.2832 0.2832
C2 0.2832 0.2832 0.6503
C3 0.2832 0.6503 0.2832
C4 0.3497 0.7168 0.7168
C5 0.6503 0.2832 0.2832
C6 0.7168 0.3497 0.7168
C7 0.7168 0.7168 0.3497
C8 0.7168 0.7168 0.7168
O1 0.0610 0.0610 0.0610
O2 0.0610 0.0610 0.3171
O3 0.0610 0.3171 0.0610
O4 0.1414 0.3058 0.6524
O5 0.1414 0.4004 0.3058
O6 0.1414 0.6524 0.4004
O7 0.3058 0.1414 0.4004
O8 0.3058 0.4004 0.6524
O9 0.3058 0.6524 0.1414
O10 0.3171 0.0610 0.0610
O11 0.3476 0.5996 0.8586
O12 0.3476 0.6942 0.5996
O13 0.3476 0.8586 0.6942
O14 0.4004 0.1414 0.6524
O15 0.4004 0.3058 0.1414
O16 0.4004 0.6524 0.3058
O17 0.5996 0.3476 0.6942
O18 0.5996 0.6942 0.8586
O19 0.5996 0.8586 0.3476
O20 0.6524 0.1414 0.3058
O21 0.6524 0.3058 0.4004
O22 0.6524 0.4004 0.1414
O23 0.6829 0.9390 0.9390
O24 0.6942 0.3476 0.8586
O25 0.6942 0.5996 0.3476
O26 0.6942 0.8586 0.5996
O27 0.8586 0.3476 0.5996
O28 0.8586 0.5996 0.6942
O29 0.8586 0.6942 0.3476
O30 0.9390 0.6829 0.9390
O31 0.9390 0.9390 0.6829
O32 0.9390 0.9390 0.9390

Top 10 peaks for 2θ = 5–70°, by angle:
| 2θ/deg | Rel. int. |
| --- | --- |
| 10.93 | 34 |
| 21.02 | 89 |
| 33.20 | 100 |
| 36.24 | 68 |
| 37.97 | 22 |
| 42.78 | 20 |
| 46.24 | 23 |
| 56.87 | 33 |
| 57.29 | 20 |
| 69.33 | 15 |